This entry pairs a crystal structure of Tb9Pm11Er4 with its computed X-ray diffraction stick pattern. Radiation: Cu Kα. Structure: a DFT-relaxed cell (GGA-PBE, Alexandria).
Peak positions follow from Bragg's law for the DFT cell and can differ from measured ones.

Largest 10 diffraction maxima, most intense first, 10° ≤ 2θ ≤ 90°:
32.38°, d 2.765, rel. 100
29.64°, d 3.014, rel. 98
32.20°, d 2.780, rel. 83
30.97°, d 2.888, rel. 31
30.05°, d 2.973, rel. 30
59.18°, d 1.561, rel. 28
31.74°, d 2.819, rel. 27
49.96°, d 1.825, rel. 22
60.39°, d 1.533, rel. 20
31.63°, d 2.829, rel. 17

a b c (Å): 15.4061 15.4061 3.6509
angles (deg): 90.00 90.00 113.24
Atoms (fractional coordinates):
Tb 0.0000 0.0000 0.0000
Tb 0.1298 0.6655 0.0000
Tb 0.2860 0.4322 0.0000
Tb 0.3345 0.8702 0.0000
Tb 0.4322 0.2860 0.0000
Tb 0.5678 0.7140 0.0000
Tb 0.6655 0.1298 0.0000
Tb 0.7140 0.5678 0.0000
Tb 0.8702 0.3345 0.0000
Pm 0.0948 0.4569 0.5000
Pm 0.1312 0.8688 0.5000
Pm 0.2076 0.2076 0.5000
Pm 0.3391 0.6609 0.5000
Pm 0.4569 0.0948 0.5000
Pm 0.5000 0.5000 0.5000
Pm 0.5431 0.9052 0.5000
Pm 0.6609 0.3391 0.5000
Pm 0.7924 0.7924 0.5000
Pm 0.8688 0.1312 0.5000
Pm 0.9052 0.5431 0.5000
Er 0.0556 0.2591 0.0000
Er 0.2591 0.0556 0.0000
Er 0.7409 0.9444 0.0000
Er 0.9444 0.7409 0.0000